# AcHo4Tm10
Calculated XRD peak list, Cu Kα, 1.54184 Å. Input: the GGA-PBE geometry in Alexandria.
Kinematic intensities with the Lorentz-polarization factor, no thermal factor.

Atomic structure:
Unit cell a=9.5853 b=9.5853 c=9.5853 alpha=96.59 beta=96.59 gamma=140.39
Atoms (fractional coordinates):
Ac 0.0000 0.0000 0.0000
Ho 0.3221 0.4324 0.7545
Ho 0.4324 0.6779 0.1103
Ho 0.5676 0.3221 0.8897
Ho 0.6779 0.5676 0.2455
Tm 0.0404 0.6208 0.1611
Tm 0.1208 0.9596 0.5804
Tm 0.2500 0.7500 0.5000
Tm 0.3792 0.5403 0.4196
Tm 0.4597 0.8792 0.8389
Tm 0.5403 0.1208 0.1611
Tm 0.6208 0.4597 0.5804
Tm 0.7500 0.2500 0.5000
Tm 0.8792 0.0404 0.4196
Tm 0.9596 0.3792 0.8389

Top 10 peaks for 2θ = 10–90°, by angle:
2θ = 20.73°, d = 4.286 Å, I 27
2θ = 28.74°, d = 3.106 Å, I 36
2θ = 29.23°, d = 3.055 Å, I 58
2θ = 29.72°, d = 3.006 Å, I 26
2θ = 31.37°, d = 2.852 Å, I 100
2θ = 35.49°, d = 2.529 Å, I 76
2θ = 35.90°, d = 2.501 Å, I 34
2θ = 40.91°, d = 2.206 Å, I 25
2θ = 44.95°, d = 2.017 Å, I 26
2θ = 45.79°, d = 1.982 Å, I 38


# Tm5Te4Ir
Calculated XRD peak list, Cu Kα, 1.54184 Å. Input: the GGA-PBE geometry in Alexandria.
Kinematic intensities with the Lorentz-polarization factor, no thermal factor.

Atomic structure:
Unit cell a=15.9013 b=15.9013 c=15.9013 alpha=164.92 beta=164.92 gamma=21.39
Atoms (fractional coordinates):
Tm 0.0000 0.0000 0.0000
Tm 0.2120 0.2120 0.0000
Tm 0.4169 0.4169 0.0000
Tm 0.5831 0.5831 0.0000
Tm 0.7880 0.7880 0.0000
Te 0.1074 0.1074 0.0000
Te 0.3098 0.3098 0.0000
Te 0.6902 0.6902 0.0000
Te 0.8926 0.8926 0.0000
Ir 0.5000 0.5000 0.0000

Top 10 peaks for 2θ = 10–90°, by angle:
2θ = 28.56°, d = 3.125 Å, I 35
2θ = 30.28°, d = 2.952 Å, I 100
2θ = 33.57°, d = 2.669 Å, I 21
2θ = 38.33°, d = 2.349 Å, I 15
2θ = 42.11°, d = 2.146 Å, I 50
2θ = 43.36°, d = 2.087 Å, I 40
2θ = 52.74°, d = 1.736 Å, I 26
2θ = 62.99°, d = 1.476 Å, I 14
2θ = 71.47°, d = 1.320 Å, I 17
2θ = 78.69°, d = 1.216 Å, I 16